1.
This entry pairs a crystal structure of Li3NiPCO7 with its simulated X-ray diffraction stick pattern. Radiation: a wavelength of 1.5418 Å. Structure: a structure optimized by DFT (GGA+U).
Neutral-atom scattering factors, no anomalous dispersion.

```
data_Li3NiPCO7
_cell_length_a 6.396
_cell_length_b 8.356
_cell_length_c 9.893
_cell_angle_alpha 95.00
_cell_angle_beta 90.27
_cell_angle_gamma 90.26
_space_group_name_H-M_alt 'P 1'
_space_group_IT_number 1
loop_
_space_group_symop_operation_xyz
'x,y,z'
loop_
_atom_site_label
_atom_site_type_symbol
_atom_site_fract_x
_atom_site_fract_y
_atom_site_fract_z
Li1 Li 0.000 0.000 0.000
Li2 Li 0.001 0.001 0.521
Li3 Li 0.237 0.180 0.268
Li4 Li 0.238 0.173 0.778
Li5 Li 0.485 0.000 0.000
Li6 Li 0.513 0.553 0.262
Li7 Li 0.519 0.558 0.768
Li8 Li 0.741 0.371 0.507
Li9 Li 0.742 0.377 0.003
Li10 Li 0.743 0.932 0.788
Li11 Li 0.964 0.557 0.768
Li12 Li 0.969 0.554 0.263
Ni1 Ni 0.242 0.609 0.492
Ni2 Ni 0.242 0.609 0.992
Ni3 Ni 0.486 0.003 0.526
Ni4 Ni 0.742 0.942 0.283
P1 P 0.241 0.861 0.252
P2 P 0.244 0.865 0.750
P3 P 0.739 0.686 0.530
P4 P 0.742 0.693 0.030
C1 C 0.242 0.316 0.038
C2 C 0.245 0.315 0.537
C3 C 0.733 0.238 0.738
C4 C 0.740 0.235 0.240
O1 O 0.051 0.966 0.792
O2 O 0.054 0.967 0.303
O3 O 0.239 0.431 0.631
O4 O 0.240 0.693 0.305
O5 O 0.241 0.168 0.066
O6 O 0.241 0.354 0.914
O7 O 0.241 0.695 0.801
O8 O 0.242 0.348 0.412
O9 O 0.242 0.432 0.134
O10 O 0.249 0.840 0.095
O11 O 0.251 0.166 0.569
O12 O 0.256 0.842 0.588
O13 O 0.429 0.966 0.312
O14 O 0.434 0.969 0.800
O15 O 0.553 0.581 0.473
O16 O 0.554 0.585 0.978
O17 O 0.723 0.125 0.638
O18 O 0.735 0.857 0.476
O19 O 0.739 0.118 0.145
O20 O 0.740 0.199 0.365
O21 O 0.740 0.707 0.685
O22 O 0.741 0.204 0.861
O23 O 0.741 0.382 0.210
O24 O 0.741 0.387 0.707
O25 O 0.741 0.712 0.189
O26 O 0.743 0.858 0.977
O27 O 0.929 0.586 0.980
O28 O 0.929 0.589 0.472
```

Top 8 peaks for 2θ from 10° to 90°, by angle:
| 2theta | I/Imax | hkl |
| --- | --- | --- |
| 10.63 | 100 | 0 1 0 |
| 17.47 | 29 | 1 -1 0 |
| 21.74 | 33 | 0 1 2 |
| 25.95 | 28 | 1 1 2 |
| 26.81 | 32 | 0 2 -2 |
| 27.89 | 95 | 2 0 0 |
| 36.47 | 27 | 0 0 4 |
| 37.14 | 37 | 0 1 -4 |

=====

2.
This entry pairs a crystal structure of Mo2P3O11 with its simulated X-ray diffraction stick pattern. Radiation: a wavelength of 1.5418 Å. Structure: a structure optimized by DFT (GGA+U).
Neutral-atom scattering factors, no anomalous dispersion.

```
data_Mo2P3O11
_cell_length_a 12.141
_cell_length_b 8.918
_cell_length_c 9.120
_cell_angle_alpha 90.00
_cell_angle_beta 114.47
_cell_angle_gamma 90.00
_space_group_name_H-M_alt 'C 1 2 1'
_space_group_IT_number 5
loop_
_space_group_symop_operation_xyz
'x,y,z'
'-x,y,-z'
'x+1/2,y+1/2,z'
'-x+1/2,y+1/2,-z'
loop_
_atom_site_label
_atom_site_type_symbol
_atom_site_fract_x
_atom_site_fract_y
_atom_site_fract_z
Mo1 Mo 0.121 0.000 0.293
Mo2 Mo 0.127 0.520 0.794
P1 P 0.000 0.723 0.000
P2 P 0.000 0.800 0.500
P3 P 0.107 0.326 0.460
P4 P 0.108 0.197 0.966
O1 O 0.000 0.254 0.500
O2 O 0.000 0.272 0.000
O3 O 0.050 0.094 0.820
O4 O 0.050 0.428 0.316
O5 O 0.070 0.825 0.149
O6 O 0.073 0.711 0.650
O7 O 0.092 0.904 0.466
O8 O 0.094 0.628 0.972
O9 O 0.176 0.194 0.431
O10 O 0.182 0.102 0.122
O11 O 0.182 0.322 0.944
O12 O 0.190 0.414 0.615
```

Top 8 peaks for 2θ from 10° to 90°, by angle:
| 2theta | I/Imax | hkl |
| --- | --- | --- |
| 14.35 | 89 | 1 1 -1 |
| 18.68 | 100 | 1 1 1 |
| 22.64 | 20 | 0 2 1 |
| 24.16 | 32 | 3 1 -1 |
| 28.93 | 20 | 2 2 -2 |
| 29.40 | 71 | 0 2 2 |
| 32.41 | 21 | 4 0 0 |
| 32.99 | 32 | 3 1 -3 |

=====

3.
This entry pairs a crystal structure of Li3Co2O5 with its simulated X-ray diffraction stick pattern. Radiation: a wavelength of 1.5418 Å. Structure: a structure optimized by DFT (GGA+U).
Neutral-atom scattering factors, no anomalous dispersion.

```
data_Li3Co2O5
_cell_length_a 5.052
_cell_length_b 2.880
_cell_length_c 24.821
_cell_angle_alpha 90.00
_cell_angle_beta 93.72
_cell_angle_gamma 90.00
_space_group_name_H-M_alt 'C 1 2/m 1'
_space_group_IT_number 12
loop_
_space_group_symop_operation_xyz
'x,y,z'
'-x,-y,-z'
'-x,y,-z'
'x,-y,z'
'x+1/2,y+1/2,z'
'-x+1/2,-y+1/2,-z'
'-x+1/2,y+1/2,-z'
'x+1/2,-y+1/2,z'
loop_
_atom_site_label
_atom_site_type_symbol
_atom_site_fract_x
_atom_site_fract_y
_atom_site_fract_z
Li1 Li 0.000 0.000 0.000
Li2 Li 0.000 0.500 0.500
Li3 Li 0.095 0.000 0.302
Li4 Li 0.193 0.500 0.099
Co1 Co 0.098 0.500 0.798
Co2 Co 0.202 0.000 0.601
O1 O 0.054 0.500 0.648
O2 O 0.068 0.000 0.161
O3 O 0.148 0.000 0.446
O4 O 0.151 0.500 0.946
O5 O 0.237 0.500 0.245
```

Top 8 peaks for 2θ from 10° to 90°, by angle:
| 2theta | I/Imax | hkl |
| --- | --- | --- |
| 10.72 | 16 | 0 0 3 |
| 17.91 | 100 | 0 0 5 |
| 36.05 | 12 | 2 0 1 |
| 36.42 | 27 | 1 1 -2 |
| 43.25 | 29 | 2 0 6 |
| 43.64 | 58 | 1 1 -7 |
| 62.17 | 24 | 2 0 -14 |
| 64.05 | 15 | 3 1 -1 |

=====

4.
This entry pairs a crystal structure of Li7Ni5O12 with its simulated X-ray diffraction stick pattern. Radiation: a wavelength of 1.5418 Å. Structure: a structure optimized by DFT (GGA+U).
Neutral-atom scattering factors, no anomalous dispersion.

```
data_Li7Ni5O12
_cell_length_a 5.048
_cell_length_b 8.609
_cell_length_c 9.477
_cell_angle_alpha 90.00
_cell_angle_beta 99.79
_cell_angle_gamma 90.00
_space_group_name_H-M_alt 'C 1 2 1'
_space_group_IT_number 5
loop_
_space_group_symop_operation_xyz
'x,y,z'
'-x,y,-z'
'x+1/2,y+1/2,z'
'-x+1/2,y+1/2,-z'
loop_
_atom_site_label
_atom_site_type_symbol
_atom_site_fract_x
_atom_site_fract_y
_atom_site_fract_z
Li1 Li 0.000 0.000 0.000
Li2 Li 0.000 0.173 0.500
Li3 Li 0.000 0.513 0.500
Li4 Li 0.239 0.670 0.740
Li5 Li 0.245 0.336 0.741
Ni1 Ni 0.000 0.330 0.000
Ni2 Ni 0.000 0.667 0.000
Ni3 Ni 0.000 0.840 0.500
Ni4 Ni 0.250 0.008 0.745
O1 O 0.091 0.505 0.876
O2 O 0.092 0.997 0.370
O3 O 0.125 0.680 0.383
O4 O 0.148 0.825 0.891
O5 O 0.157 0.166 0.881
O6 O 0.159 0.351 0.377
```

Top 8 peaks for 2θ from 10° to 90°, by angle:
| 2theta | I/Imax | hkl |
| --- | --- | --- |
| 20.62 | 12 | 1 1 0 |
| 21.41 | 100 | 1 1 -1 |
| 28.20 | 46 | 0 2 2 |
| 38.05 | 19 | 1 1 3 |
| 44.07 | 37 | 2 0 2 |
| 44.68 | 72 | 1 3 -3 |
| 64.16 | 19 | 3 3 -1 |
| 64.97 | 29 | 0 6 0 |

=====

5.
This entry pairs a crystal structure of LiFe2OF3 with its simulated X-ray diffraction stick pattern. Radiation: a wavelength of 1.5418 Å. Structure: a structure optimized by DFT (GGA+U).
Neutral-atom scattering factors, no anomalous dispersion.

```
data_LiFe2OF3
_cell_length_a 6.229
_cell_length_b 6.224
_cell_length_c 8.843
_cell_angle_alpha 90.00
_cell_angle_beta 90.00
_cell_angle_gamma 90.00
_space_group_name_H-M_alt 'P n m a'
_space_group_IT_number 62
loop_
_space_group_symop_operation_xyz
'x,y,z'
'-x,-y,-z'
'-x+1/2,-y,z+1/2'
'x+1/2,y,-z+1/2'
'x+1/2,-y+1/2,-z+1/2'
'-x+1/2,y+1/2,z+1/2'
'-x,y+1/2,-z'
'x,-y+1/2,z'
loop_
_atom_site_label
_atom_site_type_symbol
_atom_site_fract_x
_atom_site_fract_y
_atom_site_fract_z
Li1 Li 0.032 0.250 0.108
Fe1 Fe 0.000 0.000 0.500
Fe2 Fe 0.249 0.750 0.261
O1 O 0.198 0.750 0.482
F1 F 0.003 0.003 0.755
F2 F 0.237 0.750 0.026
```

Top 8 peaks for 2θ from 10° to 90°, by angle:
| 2theta | I/Imax | hkl |
| --- | --- | --- |
| 17.42 | 100 | 0 1 1 |
| 33.69 | 41 | 1 0 3 |
| 33.75 | 17 | 1 2 1 |
| 40.82 | 24 | 0 0 4 |
| 41.00 | 50 | 2 2 0 |
| 54.09 | 15 | 3 2 1 |
| 59.23 | 29 | 2 2 4 |
| 59.37 | 15 | 0 4 0 |

=====

6.
This entry pairs a crystal structure of VSnO4 with its simulated X-ray diffraction stick pattern. Radiation: a wavelength of 1.5418 Å. Structure: a structure optimized by DFT (GGA+U).
Neutral-atom scattering factors, no anomalous dispersion.

```
data_VSnO4
_cell_length_a 3.152
_cell_length_b 6.583
_cell_length_c 6.620
_cell_angle_alpha 90.00
_cell_angle_beta 90.00
_cell_angle_gamma 90.00
_space_group_name_H-M_alt 'A m m 2'
_space_group_IT_number 38
loop_
_space_group_symop_operation_xyz
'x,y,z'
'-x,-y,z'
'-x,y,z'
'x,-y,z'
'x,y+1/2,z+1/2'
'-x,-y+1/2,z+1/2'
'-x,y+1/2,z+1/2'
'x,-y+1/2,z+1/2'
loop_
_atom_site_label
_atom_site_type_symbol
_atom_site_fract_x
_atom_site_fract_y
_atom_site_fract_z
V1 V 0.000 0.000 0.000
Sn1 Sn 0.500 0.000 0.500
O1 O 0.000 0.207 0.499
O2 O 0.500 0.000 0.186
O3 O 0.500 0.000 0.814
```

Top 8 peaks for 2θ from 10° to 90°, by angle:
| 2theta | I/Imax | hkl |
| --- | --- | --- |
| 19.01 | 39 | 0 1 1 |
| 26.93 | 70 | 0 0 2 |
| 27.09 | 65 | 0 2 0 |
| 34.33 | 100 | 1 1 1 |
| 39.59 | 26 | 1 2 0 |
| 52.49 | 48 | 1 1 3 |
| 52.67 | 43 | 1 3 1 |
| 67.08 | 29 | 1 3 3 |

=====

7.
This entry pairs a crystal structure of LiV4CuO12 with its simulated X-ray diffraction stick pattern. Radiation: a wavelength of 1.5418 Å. Structure: a structure optimized by DFT (GGA+U).
Neutral-atom scattering factors, no anomalous dispersion.

```
data_LiV4CuO12
_cell_length_a 5.004
_cell_length_b 5.389
_cell_length_c 7.343
_cell_angle_alpha 84.54
_cell_angle_beta 89.84
_cell_angle_gamma 89.79
_space_group_name_H-M_alt 'P 1'
_space_group_IT_number 1
loop_
_space_group_symop_operation_xyz
'x,y,z'
loop_
_atom_site_label
_atom_site_type_symbol
_atom_site_fract_x
_atom_site_fract_y
_atom_site_fract_z
Li1 Li 0.000 0.000 0.000
V1 V 0.008 0.575 0.281
V2 V 0.492 0.054 0.797
V3 V 0.509 0.054 0.283
V4 V 0.994 0.558 0.784
Cu1 Cu 0.503 0.474 0.497
O1 O 0.100 0.606 0.060
O2 O 0.199 0.908 0.763
O3 O 0.209 0.314 0.369
O4 O 0.313 0.425 0.736
O5 O 0.323 0.787 0.374
O6 O 0.384 0.103 0.062
O7 O 0.606 0.125 0.559
O8 O 0.696 0.416 0.266
O9 O 0.705 0.813 0.857
O10 O 0.815 0.917 0.247
O11 O 0.823 0.302 0.870
O12 O 0.858 0.605 0.561
```

Top 8 peaks for 2θ from 10° to 90°, by angle:
| 2theta | I/Imax | hkl |
| --- | --- | --- |
| 12.11 | 19 | 0 0 1 |
| 21.50 | 28 | 0 1 -1 |
| 24.33 | 100 | 1 -1 0 |
| 33.42 | 47 | 1 1 2 |
| 33.58 | 23 | -1 1 2 |
| 35.85 | 38 | 1 -1 2 |
| 41.13 | 25 | 1 -2 1 |
| 49.92 | 24 | 0 0 4 |

=====

8.
This entry pairs a crystal structure of CaMn6O5F7 with its simulated X-ray diffraction stick pattern. Radiation: a wavelength of 1.5418 Å. Structure: a structure optimized by DFT (GGA+U).
Neutral-atom scattering factors, no anomalous dispersion.

```
data_CaMn6O5F7
_cell_length_a 6.029
_cell_length_b 6.527
_cell_length_c 7.271
_cell_angle_alpha 73.19
_cell_angle_beta 73.17
_cell_angle_gamma 85.64
_space_group_name_H-M_alt 'P 1'
_space_group_IT_number 1
loop_
_space_group_symop_operation_xyz
'x,y,z'
loop_
_atom_site_label
_atom_site_type_symbol
_atom_site_fract_x
_atom_site_fract_y
_atom_site_fract_z
Ca1 Ca 0.000 0.000 0.000
Mn1 Mn 0.006 0.505 0.009
Mn2 Mn 0.413 0.777 0.186
Mn3 Mn 0.433 0.790 0.658
Mn4 Mn 0.595 0.286 0.841
Mn5 Mn 0.622 0.220 0.341
Mn6 Mn 0.978 0.510 0.495
O1 O 0.260 0.725 0.950
O2 O 0.501 0.938 0.370
O3 O 0.658 0.573 0.646
O4 O 0.757 0.289 0.053
O5 O 0.870 0.425 0.298
F1 F 0.056 0.832 0.308
F2 F 0.113 0.584 0.706
F3 F 0.259 0.223 0.011
F4 F 0.340 0.457 0.357
F5 F 0.513 0.119 0.647
F6 F 0.740 0.783 0.990
F7 F 0.944 0.192 0.700
```

Top 8 peaks for 2θ from 10° to 90°, by angle:
| 2theta | I/Imax | hkl |
| --- | --- | --- |
| 20.87 | 96 | 1 -1 0 |
| 26.72 | 100 | 1 1 2 |
| 32.48 | 43 | 1 -2 0 |
| 32.71 | 47 | 1 2 0 |
| 33.76 | 35 | 0 1 -2 |
| 34.59 | 32 | 1 0 -2 |
| 34.93 | 30 | 2 0 2 |
| 52.60 | 32 | 1 0 4 |

=====

9.
This entry pairs a crystal structure of LiMn3B3O9 with its simulated X-ray diffraction stick pattern. Radiation: a wavelength of 1.5418 Å. Structure: a structure optimized by DFT (GGA+U).
Neutral-atom scattering factors, no anomalous dispersion.

```
data_LiMn3B3O9
_cell_length_a 5.246
_cell_length_b 7.761
_cell_length_c 9.831
_cell_angle_alpha 73.74
_cell_angle_beta 75.76
_cell_angle_gamma 89.52
_space_group_name_H-M_alt 'P -1'
_space_group_IT_number 2
loop_
_space_group_symop_operation_xyz
'x,y,z'
'-x,-y,-z'
loop_
_atom_site_label
_atom_site_type_symbol
_atom_site_fract_x
_atom_site_fract_y
_atom_site_fract_z
Li1 Li 0.219 0.427 0.253
Mn1 Mn 0.139 0.709 0.467
Mn2 Mn 0.223 0.646 0.883
Mn3 Mn 0.438 0.053 0.799
B1 B 0.005 0.074 0.331
B2 B 0.313 0.247 0.015
B3 B 0.336 0.426 0.666
O1 O 0.095 0.190 0.397
O2 O 0.106 0.468 0.615
O3 O 0.166 0.930 0.310
O4 O 0.197 0.393 0.059
O5 O 0.208 0.898 0.724
O6 O 0.214 0.170 0.929
O7 O 0.437 0.526 0.733
O8 O 0.466 0.817 0.935
O9 O 0.473 0.279 0.632
```

Top 8 peaks for 2θ from 10° to 90°, by angle:
| 2theta | I/Imax | hkl |
| --- | --- | --- |
| 19.69 | 100 | 0 1 2 |
| 20.44 | 48 | 1 1 1 |
| 20.54 | 35 | 1 -1 0 |
| 22.10 | 76 | 1 0 -1 |
| 22.66 | 97 | 1 0 2 |
| 33.84 | 55 | 1 2 3 |
| 35.24 | 93 | 0 2 -2 |
| 36.96 | 35 | -1 1 3 |